1.
Computed XRD peak list
Compound: LuRe2W
Radiation: a wavelength of 1.5418 Å
Structure: DFT lattice parameters and positions (PBE)

Most intense lines, 5° ≤ 2θ ≤ 70°, by angle:
2.274 Å, intensity 100.0
1.608 Å, intensity 17.3

Structure:
```
LuRe2W
1.0
0.0000 3.2156 3.2156
3.2156 0.0000 3.2156
3.2156 3.2156 0.0000
Lu Re W
1 2 1
direct
0.0000 0.0000 0.0000
0.2500 0.2500 0.2500
0.5000 0.5000 0.5000
0.7500 0.7500 0.7500
```

=====

2.
Computed XRD peak list
Compound: Th7Fe3
Radiation: a wavelength of 1.5418 Å
Structure: DFT lattice parameters and positions (PBE)

Most intense lines, 5° ≤ 2θ ≤ 70°, by angle:
3.161 Å, intensity 24.5
2.917 Å, intensity 45.4
2.818 Å, intensity 100.0
2.544 Å, intensity 35.6
2.496 Å, intensity 31.1
2.414 Å, intensity 21.9
1.664 Å, intensity 26.2
1.633 Å, intensity 28.6
1.615 Å, intensity 21.5
1.610 Å, intensity 17.3

Structure:
```
Th7Fe3
1.0
9.6571 0.0000 0.0000
-4.8286 8.3633 0.0000
0.0000 0.0000 6.2238
Th Fe
14 6
direct
0.0847 0.5423 0.0000
0.1249 0.2497 0.6922
0.1249 0.8751 0.6922
0.2497 0.1249 0.1922
0.3333 0.6667 0.4761
0.4577 0.5423 0.0000
0.4577 0.9153 0.0000
0.5423 0.0847 0.5000
0.5423 0.4577 0.5000
0.6667 0.3333 0.9761
0.7503 0.8751 0.6922
0.8751 0.1249 0.1922
0.8751 0.7503 0.1922
0.9153 0.4577 0.5000
0.1849 0.3697 0.2389
0.1849 0.8151 0.2389
0.3697 0.1849 0.7389
0.6303 0.8151 0.2389
0.8151 0.1849 0.7389
0.8151 0.6303 0.7389
```

=====

3.
Computed XRD peak list
Compound: CsNdNb2O7
Radiation: a wavelength of 1.5418 Å
Structure: DFT lattice parameters and positions (PBE)

Most intense lines, 5° ≤ 2θ ≤ 70°, by angle:
11.143 Å, intensity 23.2
3.175 Å, intensity 100.0
2.786 Å, intensity 10.4
2.742 Å, intensity 19.9
2.722 Å, intensity 18.5
2.260 Å, intensity 9.6
1.954 Å, intensity 9.1
1.932 Å, intensity 23.9
1.655 Å, intensity 14.5
1.646 Å, intensity 15.8

Structure:
```
CsNdNb2O7
1.0
11.1435 0.0000 0.0000
0.0000 5.4441 0.0000
0.0000 0.0000 5.4849
Cs Nd Nb O
2 2 4 14
direct
0.0000 0.2315 0.0000
0.0000 0.7685 0.5000
0.5000 0.2515 0.9712
0.5000 0.7485 0.4712
0.2943 0.2488 0.5108
0.2943 0.7512 0.0108
0.7057 0.2488 0.5108
0.7057 0.7512 0.0108
0.1360 0.3039 0.5005
0.1360 0.6961 0.0005
0.3031 0.0619 0.8323
0.3031 0.9381 0.3323
0.3548 0.4629 0.2367
0.3548 0.5371 0.7367
0.5000 0.1710 0.5406
0.5000 0.8290 0.0406
0.6452 0.4629 0.2367
0.6452 0.5371 0.7367
0.6969 0.0619 0.8323
0.6969 0.9381 0.3323
0.8640 0.3039 0.5005
0.8640 0.6961 0.0005
```

=====

4.
Computed XRD peak list
Compound: Ta2NiTe7
Radiation: a wavelength of 1.5418 Å
Structure: DFT lattice parameters and positions (PBE)

Most intense lines, 5° ≤ 2θ ≤ 70°, by angle:
7.403 Å, intensity 93.8
6.241 Å, intensity 68.8
3.032 Å, intensity 78.2
2.922 Å, intensity 75.0
2.850 Å, intensity 61.2
2.768 Å, intensity 100.0
2.471 Å, intensity 44.8
2.396 Å, intensity 49.1
2.321 Å, intensity 65.6
1.860 Å, intensity 48.5

Structure:
```
Ta2NiTe7
1.0
7.8333 -1.8599 0.0000
7.8333 1.8599 0.0000
-6.5677 0.0000 18.9856
Ta Ni Te
4 2 14
direct
0.1490 0.1490 0.3970
0.2309 0.2309 0.0953
0.7691 0.7691 0.9047
0.8510 0.8510 0.6030
0.3090 0.3090 0.7969
0.6910 0.6910 0.2031
0.0816 0.0816 0.1335
0.1537 0.1537 0.8201
0.2043 0.2043 0.5542
0.2541 0.2541 0.2978
0.3554 0.3554 0.0139
0.4328 0.4328 0.7110
0.4796 0.4796 0.5822
0.5204 0.5204 0.4178
0.5672 0.5672 0.2890
0.6446 0.6446 0.9861
0.7459 0.7459 0.7022
0.7957 0.7957 0.4458
0.8463 0.8463 0.1799
0.9184 0.9184 0.8665
```

=====

5.
Computed XRD peak list
Compound: LaSmI2BrN
Radiation: a wavelength of 1.5418 Å
Structure: DFT lattice parameters and positions (PBE)

Most intense lines, 5° ≤ 2θ ≤ 70°, by angle:
9.031 Å, intensity 80.0
3.539 Å, intensity 47.2
3.353 Å, intensity 76.8
2.988 Å, intensity 53.9
2.976 Å, intensity 66.6
2.940 Å, intensity 100.0
2.763 Å, intensity 40.9
2.226 Å, intensity 92.0
2.050 Å, intensity 41.5
1.689 Å, intensity 56.3

Structure:
```
LaSmI2BrN
1.0
9.3979 -2.0500 0.0000
9.3979 2.0500 0.0000
-6.4744 0.0000 10.1500
La Sm I Br N
2 2 4 2 2
direct
0.0786 0.0786 0.4596
0.9214 0.9214 0.5404
0.3704 0.3704 0.2228
0.6296 0.6296 0.7772
0.1655 0.1655 0.0166
0.4553 0.4553 0.7721
0.5447 0.5447 0.2279
0.8345 0.8345 0.9834
0.2854 0.2854 0.3772
0.7146 0.7146 0.6228
0.0698 0.0698 0.6494
0.9302 0.9302 0.3506
```

=====

6.
Computed XRD peak list
Compound: CuF3
Radiation: a wavelength of 1.5418 Å
Structure: DFT lattice parameters and positions (PBE)

Most intense lines, 5° ≤ 2θ ≤ 70°, by angle:
3.541 Å, intensity 100.0
2.891 Å, intensity 0.7
2.504 Å, intensity 33.2
2.240 Å, intensity 11.5
2.044 Å, intensity 7.3
1.893 Å, intensity 7.3
1.770 Å, intensity 16.9
1.669 Å, intensity 0.9
1.584 Å, intensity 38.1
1.446 Å, intensity 24.3

Structure:
```
CuF3
1.0
-3.5410 3.5410 3.5410
3.5410 -3.5410 3.5410
3.5410 3.5410 -3.5410
Cu F
4 12
direct
0.0000 0.0000 0.5000
0.0000 0.5000 0.0000
0.5000 0.0000 0.0000
0.5000 0.5000 0.5000
0.1210 0.3052 0.8157
0.1843 0.4895 0.3052
0.1843 0.8790 0.6948
0.3052 0.1843 0.4895
0.3052 0.8157 0.1210
0.4895 0.3052 0.1843
0.5105 0.6948 0.8157
0.6948 0.1843 0.8790
0.6948 0.8157 0.5105
0.8157 0.1210 0.3052
0.8157 0.5105 0.6948
0.8790 0.6948 0.1843
```

=====

7.
Computed XRD peak list
Compound: Zr2CoSb2Ir
Radiation: a wavelength of 1.5418 Å
Structure: DFT lattice parameters and positions (PBE)

Most intense lines, 5° ≤ 2θ ≤ 70°, by angle:
14.410 Å, intensity 3.4
3.603 Å, intensity 36.5
3.120 Å, intensity 9.1
2.206 Å, intensity 100.0
1.884 Å, intensity 6.0
1.880 Å, intensity 11.9
1.802 Å, intensity 2.2
1.563 Å, intensity 5.4
1.559 Å, intensity 10.9
1.432 Å, intensity 6.6

Structure:
```
Zr2CoSb2Ir
1.0
7.6505 0.0000 0.0000
0.0000 4.4092 0.0000
-2.5114 0.0000 14.4099
Zr Co Sb Ir
8 4 8 4
direct
0.0000 0.0000 0.0000
0.0036 0.5000 0.4929
0.2400 0.0000 0.7397
0.2463 0.5000 0.2435
0.4883 0.0000 0.4883
0.4989 0.5000 0.0002
0.7458 0.0000 0.2399
0.7535 0.5000 0.7409
0.0599 0.5000 0.6786
0.0607 0.0000 0.1829
0.3073 0.5000 0.4279
0.5590 0.5000 0.1822
0.1216 0.5000 0.8640
0.1267 0.0000 0.3651
0.3641 0.5000 0.6138
0.3732 0.0000 0.1248
0.6132 0.5000 0.3644
0.6217 0.0000 0.8679
0.8750 0.5000 0.1247
0.8788 0.0000 0.6180
0.3096 0.0000 0.9325
0.5585 0.0000 0.6781
0.8092 0.0000 0.4287
0.8114 0.5000 0.9331
```

=====

8.
Computed XRD peak list
Compound: Lu3AsN2
Radiation: a wavelength of 1.5418 Å
Structure: DFT lattice parameters and positions (PBE)

Most intense lines, 5° ≤ 2θ ≤ 70°, by angle:
3.060 Å, intensity 12.2
2.856 Å, intensity 66.3
2.514 Å, intensity 100.0
2.295 Å, intensity 12.9
2.144 Å, intensity 18.7
1.824 Å, intensity 17.4
1.735 Å, intensity 32.9
1.428 Å, intensity 17.1
1.384 Å, intensity 16.1
1.363 Å, intensity 12.2

Structure:
```
Lu3AsN2
1.0
3.4703 0.0000 0.0000
-1.7351 3.0053 0.0000
0.0000 0.0000 9.1793
Lu As N
3 1 2
direct
0.0000 0.0000 0.0000
0.3333 0.6667 0.7134
0.6667 0.3333 0.2866
0.0000 0.0000 0.5000
0.3333 0.6667 0.1497
0.6667 0.3333 0.8503
```

=====

9.
Computed XRD peak list
Compound: Mg2Co
Radiation: a wavelength of 1.5418 Å
Structure: DFT lattice parameters and positions (PBE)

Most intense lines, 5° ≤ 2θ ≤ 70°, by angle:
4.476 Å, intensity 75.9
4.335 Å, intensity 64.9
3.577 Å, intensity 32.2
2.351 Å, intensity 51.3
2.236 Å, intensity 79.3
2.220 Å, intensity 58.2
2.205 Å, intensity 23.6
1.999 Å, intensity 100.0
1.978 Å, intensity 50.3
1.373 Å, intensity 17.0

Structure:
```
Mg2Co
1.0
0.0000 4.4105 8.9525
2.5913 0.0000 8.9525
2.5913 4.4105 0.0000
Mg Co
8 4
direct
0.0387 0.0387 0.2113
0.2113 0.2113 0.0387
0.2105 0.5395 0.2105
0.4605 0.7895 0.4605
0.5395 0.2105 0.5395
0.7895 0.4605 0.7895
0.7887 0.7887 0.9613
0.9613 0.9613 0.7887
0.2481 0.2481 0.5019
0.4981 0.4981 0.7519
0.5019 0.5019 0.2481
0.7519 0.7519 0.4981
```

=====

10.
Computed XRD peak list
Compound: ZnMo4PN2
Radiation: a wavelength of 1.5418 Å
Structure: DFT lattice parameters and positions (PBE)

Most intense lines, 5° ≤ 2θ ≤ 70°, by angle:
3.377 Å, intensity 9.8
2.701 Å, intensity 8.0
2.539 Å, intensity 23.7
2.495 Å, intensity 11.3
2.251 Å, intensity 13.2
2.211 Å, intensity 100.0
1.850 Å, intensity 8.0
1.684 Å, intensity 12.3
1.466 Å, intensity 21.6
1.406 Å, intensity 9.8

Structure:
```
ZnMo4PN2
1.0
2.9312 0.0000 0.0000
-1.4656 2.5385 0.0000
0.0000 0.0000 13.5066
Zn Mo P N
1 4 1 2
direct
0.0000 0.0000 0.0000
0.0000 0.0000 0.3652
0.0000 0.0000 0.6348
0.3333 0.6667 0.1640
0.3333 0.6667 0.8360
0.3333 0.6667 0.5000
0.6667 0.3333 0.2609
0.6667 0.3333 0.7391
```

=====

11.
Computed XRD peak list
Compound: Tm2PHF10
Radiation: a wavelength of 1.5418 Å
Structure: DFT lattice parameters and positions (PBE)

Most intense lines, 5° ≤ 2θ ≤ 70°, by angle:
4.339 Å, intensity 100.0
4.126 Å, intensity 52.9
3.883 Å, intensity 57.1
3.218 Å, intensity 65.9
3.119 Å, intensity 46.5
2.958 Å, intensity 40.7
2.876 Å, intensity 43.2
2.833 Å, intensity 32.3
2.549 Å, intensity 45.6
1.867 Å, intensity 31.8

Structure:
```
Tm2PHF10
1.0
4.2491 0.0000 0.0000
-0.3184 4.3431 0.0000
-1.7997 -0.3376 7.7653
Tm P H F
2 1 1 10
direct
0.0874 0.0022 0.2826
0.9126 0.9978 0.7174
0.5000 0.5000 0.0000
0.5000 0.5000 0.5000
0.1235 0.2510 0.0310
0.2353 0.6096 0.7797
0.2748 0.0096 0.5611
0.2902 0.4895 0.3810
0.4743 0.8534 0.1507
0.5257 0.1466 0.8493
0.7098 0.5105 0.6190
0.7252 0.9904 0.4389
0.7647 0.3904 0.2203
0.8765 0.7490 0.9690
```

=====

12.
Computed XRD peak list
Compound: NdTc2O4
Radiation: a wavelength of 1.5418 Å
Structure: DFT lattice parameters and positions (PBE)

Most intense lines, 5° ≤ 2θ ≤ 70°, by angle:
3.212 Å, intensity 42.1
2.739 Å, intensity 100.0
2.623 Å, intensity 14.4
2.271 Å, intensity 4.9
1.854 Å, intensity 16.2
1.748 Å, intensity 39.6
1.606 Å, intensity 37.9
1.436 Å, intensity 6.6
1.385 Å, intensity 12.4
1.370 Å, intensity 7.5

Structure:
```
NdTc2O4
1.0
0.0000 4.5425 4.5425
4.5425 0.0000 4.5425
4.5425 4.5425 0.0000
Nd Tc O
2 4 8
direct
0.1250 0.1250 0.1250
0.8750 0.8750 0.8750
0.0000 0.5000 0.5000
0.5000 0.0000 0.5000
0.5000 0.5000 0.0000
0.5000 0.5000 0.5000
0.2673 0.2673 0.2673
0.2673 0.2673 0.6981
0.2673 0.6981 0.2673
0.3019 0.7327 0.7327
0.6981 0.2673 0.2673
0.7327 0.3019 0.7327
0.7327 0.7327 0.3019
0.7327 0.7327 0.7327
```